Record 1
For TbPN2, a DFT-relaxed cell (GGA-PBE, Alexandria) gives the computed powder diffractogram in this record (Cu Kα, 1.54184 Å).
Neutral-atom scattering factors, no anomalous dispersion.

Structure:
```
data_TbPN2
_cell_length_a 3.6331
_cell_length_b 5.7329
_cell_length_c 6.1354
_cell_angle_alpha 90.00
_cell_angle_beta 90.00
_cell_angle_gamma 90.00
_symmetry_space_group_name_H-M 'P m m n'
_symmetry_Int_Tables_number 59
loop_
_symmetry_equiv_pos_as_xyz
'x,y,z'
'-x,-y,-z'
'-x+1/2,-y+1/2,z'
'x+1/2,y+1/2,-z'
'x+1/2,-y,-z'
'-x+1/2,y,z'
'-x,y+1/2,-z'
'x,-y+1/2,z'
loop_
_atom_site_label
_atom_site_type_symbol
_atom_site_fract_x
_atom_site_fract_y
_atom_site_fract_z
Tb1 Tb 0.2500 0.2500 0.1470
P1 P 0.2500 0.2500 0.6543
N1 N 0.2500 0.0183 0.8011
```

Most intense lines, 10 to 90 degrees two-theta, by intensity:
| hkl | Position (°2θ) | I_rel |
| --- | --- | --- |
| 1 1 0 | 29.10 | 100 |
| 0 1 2 | 33.12 | 57 |
| 2 0 0 | 50.27 | 53 |
| 0 1 1 | 21.21 | 49 |
| 0 0 1 | 14.44 | 48 |
| 1 0 2 | 38.40 | 32 |
| 1 2 1 | 42.80 | 27 |
| 0 2 0 | 31.20 | 27 |
| 1 1 1 | 32.63 | 23 |
| 2 1 2 | 61.49 | 19 |

Record 2
For Th3PN5, a DFT-relaxed cell (GGA-PBE, Alexandria) gives the computed powder diffractogram in this record (Cu Kα, 1.54184 Å).
Neutral-atom scattering factors, no anomalous dispersion.

Structure:
```
data_Th3PN5
_cell_length_a 6.7678
_cell_length_b 6.7678
_cell_length_c 10.9164
_cell_angle_alpha 90.00
_cell_angle_beta 90.00
_cell_angle_gamma 90.00
_symmetry_space_group_name_H-M 'I 4/m c m'
_symmetry_Int_Tables_number 140
_symmetry_space_group_name_Hall '-I 4 2c'
loop_
_atom_site_label
_atom_site_type_symbol
_atom_site_fract_x
_atom_site_fract_y
_atom_site_fract_z
Th1 Th 0.0000 0.0000 0.2500
Th2 Th 0.1758 0.3242 0.0000
P1 P 0.0000 0.5000 0.2500
N1 N 0.0000 0.0000 0.0000
N2 N 0.1368 0.3631 0.3434
```

Most intense lines, 10 to 90 degrees two-theta, by intensity:
| hkl | Position (°2θ) | I_rel |
| --- | --- | --- |
| 2 0 2 | 31.10 | 100 |
| 2 1 1 | 30.65 | 72 |
| 2 1 3 | 38.70 | 57 |
| 1 1 2 | 24.74 | 45 |
| 0 0 4 | 32.82 | 39 |
| 3 1 0 | 42.23 | 33 |
| 3 1 4 | 54.49 | 25 |
| 3 3 2 | 60.46 | 23 |
| 2 2 0 | 37.59 | 22 |
| 4 1 1 | 56.71 | 21 |